Structure and computed XRD peak list of Li4FeSi2O7 (a cell relaxed with PBE+U; Cu Kα (λ = 1.5418 Å)).
No peak broadening, texture or thermal motion is included.

Peak list (6 most intense, 2θ = 10–90°, most intense first)
- 20.4 deg, I = 100.0
- 33.0 deg, I = 74.3
- 21.9 deg, I = 71.2
- 36.3 deg, I = 59.0
- 26.7 deg, I = 47.2
- 13.3 deg, I = 40.4

Atomic structure:
```
Li4FeSi2O7
1.0
6.6913 -2.7387 0.0000
6.6913 2.7387 0.0000
-0.6674 0.0000 8.1091
Li Fe Si O
8 2 4 14
Direct
0.1397 0.4602 0.4289 Li
0.1457 0.8543 0.5000 Li
0.2532 0.6072 0.1465 Li
0.4602 0.1397 0.9289 Li
0.5382 0.9137 0.5751 Li
0.6072 0.2532 0.6465 Li
0.8543 0.1457 0.0000 Li
0.9137 0.5382 0.0751 Li
0.4089 0.7375 0.8512 Fe
0.7375 0.4089 0.3512 Fe
0.0308 0.6878 0.7914 Si
0.3185 0.9795 0.2244 Si
0.6878 0.0308 0.2914 Si
0.9795 0.3185 0.7244 Si
0.0009 0.7726 0.3246 O
0.0606 0.2959 0.2603 O
0.1510 0.5162 0.9565 O
0.2492 0.8699 0.0750 O
0.2601 0.6332 0.6939 O
0.2959 0.0606 0.7603 O
0.4229 0.8038 0.3894 O
0.5162 0.1510 0.4565 O
0.5656 0.9368 0.1587 O
0.6332 0.2601 0.1939 O
0.7726 0.0009 0.8246 O
0.8038 0.4229 0.8894 O
0.8699 0.2492 0.5750 O
0.9368 0.5656 0.6587 O
```